Entry 1:
# PmHfZnSn
Theoretical powder diffraction line list, λ = 1.5418 Å (Cu Kα). Input: a crystal structure in Alexandria, relaxed with PBE.
Kinematic intensities with the Lorentz-polarization factor, no thermal factor.

Structural model:
Unit cell a=7.1857 b=7.1857 c=7.1857 alpha=90.00 beta=90.00 gamma=90.00
Space group F-43m (No. 216)
Inequivalent atoms, fractional coordinates:
Pm 0.0000 0.0000 0.0000
Hf 0.0000 0.0000 0.5000
Zn 0.2500 0.2500 0.2500
Sn 0.2500 0.2500 0.7500

Top 8 peaks for 2θ = 5–70°, low angle first:
| d_spacing | 2θ (°) | I/Imax |
| --- | --- | --- |
| 4.149 | 21.42 | 3 |
| 3.593 | 24.78 | 8 |
| 2.541 | 35.33 | 100 |
| 2.167 | 41.69 | 2 |
| 2.074 | 43.63 | 2 |
| 1.796 | 50.83 | 18 |
| 1.607 | 57.34 | 3 |
| 1.467 | 63.42 | 37 |

Entry 2:
# PmNd8Tm4
Theoretical powder diffraction line list, λ = 1.5418 Å (Cu Kα). Input: a crystal structure in Alexandria, relaxed with PBE.
Kinematic intensities with the Lorentz-polarization factor, no thermal factor.

Structural model:
Unit cell a=7.3173 b=7.3173 c=28.5592 alpha=90.00 beta=90.00 gamma=120.00
Space group R-3m (No. 166, hexagonal axes)
Inequivalent atoms, fractional coordinates:
Pm 0.0000 0.0000 0.0000
Nd 0.0000 0.0000 0.2851
Nd 0.0316 0.5158 0.2642
Tm 0.0000 0.0000 0.5000
Tm 0.0000 0.5000 0.5000

Top 8 peaks for 2θ = 5–70°, low angle first:
| d_spacing | 2θ (°) | I/Imax |
| --- | --- | --- |
| 3.173 | 28.12 | 25 |
| 3.149 | 28.34 | 16 |
| 2.896 | 30.87 | 100 |
| 2.771 | 32.31 | 34 |
| 2.370 | 37.97 | 33 |
| 1.829 | 49.85 | 28 |
| 1.805 | 50.56 | 14 |
| 1.585 | 58.21 | 20 |

Entry 3:
# Li3B4C4
Theoretical powder diffraction line list, λ = 1.5418 Å (Cu Kα). Input: a crystal structure in Alexandria, relaxed with PBE.
Kinematic intensities with the Lorentz-polarization factor, no thermal factor.

Structural model:
Unit cell a=5.4461 b=4.7155 c=7.7060 alpha=90.00 beta=110.80 gamma=90.00
Space group P2_1/c (No. 14)
Inequivalent atoms, fractional coordinates:
Li 0.0000 0.0000 0.0000
Li 0.2578 0.0017 0.4990
B 0.1279 0.1615 0.7524
B 0.3748 0.6634 0.7462
C 0.1210 0.6714 0.2430
C 0.3743 0.1679 0.2497

Top 8 peaks for 2θ = 5–70°, low angle first:
| d_spacing | 2θ (°) | I/Imax |
| --- | --- | --- |
| 5.091 | 17.42 | 1 |
| 3.945 | 22.54 | 2 |
| 3.602 | 24.72 | 100 |
| 2.358 | 38.17 | 8 |
| 2.241 | 40.24 | 3 |
| 1.973 | 46.00 | 52 |
| 1.801 | 50.69 | 17 |
| 1.361 | 68.98 | 17 |

Entry 4:
# In8Bi3
Theoretical powder diffraction line list, λ = 1.5418 Å (Cu Kα). Input: a crystal structure in Alexandria, relaxed with PBE.
Kinematic intensities with the Lorentz-polarization factor, no thermal factor.

Structural model:
Unit cell a=10.7538 b=4.8222 c=12.9512 alpha=90.00 beta=106.85 gamma=90.00
Space group C2/m (No. 12)
Inequivalent atoms, fractional coordinates:
In 0.0516 0.0000 0.3170
In 0.1307 0.0000 0.9513
In 0.1722 0.5000 0.7674
In 0.2277 0.0000 0.5911
Bi 0.0000 0.5000 0.5000
Bi 0.1045 0.5000 0.1358

Top 8 peaks for 2θ = 5–70°, low angle first:
| d_spacing | 2θ (°) | I/Imax |
| --- | --- | --- |
| 2.832 | 31.59 | 100 |
| 2.809 | 31.86 | 96 |
| 2.540 | 35.34 | 37 |
| 2.411 | 37.29 | 32 |
| 2.386 | 37.71 | 30 |
| 1.749 | 52.31 | 36 |
| 1.696 | 54.08 | 21 |
| 1.520 | 60.94 | 15 |

Entry 5:
# Sm4MgTc
Theoretical powder diffraction line list, λ = 1.5418 Å (Cu Kα). Input: a crystal structure in Alexandria, relaxed with PBE.
Kinematic intensities with the Lorentz-polarization factor, no thermal factor.

Structural model:
Unit cell a=9.1095 b=13.1083 c=6.3160 alpha=90.00 beta=108.40 gamma=90.00
Space group C2/c (No. 15)
Inequivalent atoms, fractional coordinates:
Sm 0.1055 0.1671 0.0517
Sm 0.2218 0.4164 0.3783
Mg 0.0000 0.3791 0.7500
Tc 0.0000 0.0003 0.2500

Top 8 peaks for 2θ = 5–70°, low angle first:
| d_spacing | 2θ (°) | I/Imax |
| --- | --- | --- |
| 7.216 | 12.27 | 88 |
| 3.505 | 25.41 | 36 |
| 3.070 | 29.08 | 68 |
| 2.917 | 30.65 | 75 |
| 2.784 | 32.15 | 100 |
| 2.581 | 34.76 | 32 |
| 2.559 | 35.07 | 52 |
| 2.467 | 36.42 | 44 |

Entry 6:
# Lu10Al4Ge11
Theoretical powder diffraction line list, λ = 1.5418 Å (Cu Kα). Input: a crystal structure in Alexandria, relaxed with PBE.
Kinematic intensities with the Lorentz-polarization factor, no thermal factor.

Structural model:
Unit cell a=10.3436 b=4.0387 c=24.7235 alpha=90.00 beta=97.10 gamma=90.00
Space group C2/m (No. 12)
Inequivalent atoms, fractional coordinates:
Lu 0.0187 0.0000 0.1566
Lu 0.0927 0.5000 0.6445
Lu 0.1292 0.5000 0.9575
Lu 0.1525 0.0000 0.4432
Lu 0.2395 0.0000 0.7583
Al 0.0848 0.0000 0.2975
Al 0.1945 0.5000 0.0997
Ge 0.0000 0.5000 0.5000
Ge 0.0274 0.5000 0.7583
Ge 0.0848 0.0000 0.0431
Ge 0.1350 0.0000 0.5609
Ge 0.1915 0.5000 0.3549
Ge 0.1955 0.5000 0.8440

Top 8 peaks for 2θ = 5–70°, low angle first:
| d_spacing | 2θ (°) | I/Imax |
| --- | --- | --- |
| 3.358 | 26.55 | 50 |
| 3.021 | 29.57 | 15 |
| 2.623 | 34.19 | 100 |
| 2.453 | 36.64 | 45 |
| 2.325 | 38.73 | 29 |
| 2.301 | 39.15 | 25 |
| 2.019 | 44.89 | 23 |
| 1.802 | 50.65 | 17 |

Entry 7:
# RbAc3F10
Theoretical powder diffraction line list, λ = 1.5418 Å (Cu Kα). Input: a crystal structure in Alexandria, relaxed with PBE.
Kinematic intensities with the Lorentz-polarization factor, no thermal factor.

Structural model:
Unit cell a=12.8407 b=12.8407 c=12.8407 alpha=90.00 beta=90.00 gamma=90.00
Space group Fm-3m (No. 225)
Inequivalent atoms, fractional coordinates:
Rb 0.2500 0.2500 0.2500
Ac 0.0000 0.0000 0.2406
F 0.0000 0.1648 0.3352
F 0.1112 0.1112 0.1112

Top 8 peaks for 2θ = 5–70°, low angle first:
| d_spacing | 2θ (°) | I/Imax |
| --- | --- | --- |
| 4.540 | 19.55 | 12 |
| 3.707 | 24.01 | 100 |
| 3.210 | 27.79 | 45 |
| 2.270 | 39.71 | 48 |
| 1.936 | 46.94 | 58 |
| 1.853 | 49.16 | 14 |
| 1.473 | 63.12 | 22 |
| 1.436 | 64.96 | 16 |

Entry 8:
# LiLa2H6Rh
Theoretical powder diffraction line list, λ = 1.5418 Å (Cu Kα). Input: a crystal structure in Alexandria, relaxed with PBE.
Kinematic intensities with the Lorentz-polarization factor, no thermal factor.

Structural model:
Unit cell a=5.2051 b=5.2051 c=4.8022 alpha=90.00 beta=90.00 gamma=120.00
Space group P-3m1 (No. 164)
Inequivalent atoms, fractional coordinates:
Li 0.0000 0.0000 0.0000
La 0.3333 0.6667 0.7483
H 0.1630 0.3259 0.2661
Rh 0.0000 0.0000 0.5000

Top 8 peaks for 2θ = 5–70°, low angle first:
| d_spacing | 2θ (°) | I/Imax |
| --- | --- | --- |
| 3.287 | 27.13 | 100 |
| 2.603 | 34.46 | 60 |
| 2.119 | 42.66 | 28 |
| 2.040 | 44.40 | 28 |
| 1.643 | 55.96 | 13 |
| 1.606 | 57.39 | 25 |
| 1.503 | 61.74 | 11 |
| 1.389 | 67.40 | 14 |